Ba4PrYCu6O14: theoretical PXRD pattern (copper Kα), based on a crystal structure in Alexandria, relaxed with PBE.
Neutral-atom scattering factors, no anomalous dispersion.

Principal peaks in the range 2θ = 10–90°, low angle first:
index  2theta  I_rel
0 1 6  32.0  90.0
1 0 6  32.3  100.0
1 1 0  32.4  92.1
1 1 6  39.8  25.0
0 0 12  45.8  19.8
0 2 0  46.1  28.4
2 0 0  47.0  26.7
1 1 12  57.2  35.5
1 2 6  57.4  37.6
2 1 6  58.0  32.9

```
Ba4PrYCu6O14
1.0
3.8684 0.0000 0.0000
0.0000 3.9379 0.0000
0.0000 0.0000 23.7807
Ba Pr Y Cu O
4 1 1 6 14
Direct
0.0000 0.0000 0.1584
0.0000 0.0000 0.3379
0.0000 0.0000 0.6621
0.0000 0.0000 0.8416
0.0000 0.0000 0.5000
0.0000 0.0000 0.0000
0.5000 0.5000 0.0731
0.5000 0.5000 0.2480
0.5000 0.5000 0.4221
0.5000 0.5000 0.5779
0.5000 0.5000 0.7520
0.5000 0.5000 0.9269
0.0000 0.5000 0.0598
0.0000 0.5000 0.4351
0.0000 0.5000 0.5649
0.0000 0.5000 0.9402
0.5000 0.0000 0.0603
0.5000 0.0000 0.2478
0.5000 0.0000 0.4344
0.5000 0.0000 0.5656
0.5000 0.0000 0.7522
0.5000 0.0000 0.9397
0.5000 0.5000 0.1691
0.5000 0.5000 0.3269
0.5000 0.5000 0.6731
0.5000 0.5000 0.8309
```